The following is a simulated PXRD pattern of RbMg6Tl4. It was derived from DFT lattice parameters and positions (GGA-PBE), using Cu Kα (λ = 1.5418 Å).
Kinematic intensities with the Lorentz-polarization factor, no thermal factor.

Main lines, in order of rising 2θ (2θ from 15° to 90°):
| h k l | two_theta | intensity |
| --- | --- | --- |
| 1 0 1 | 22.48 | 85 |
| 2 0 0 | 23.81 | 100 |
| 1 1 1 | 28.18 | 62 |
| 2 0 1 | 30.66 | 49 |
| 2 1 0 | 31.67 | 39 |
| 2 1 1 | 37.21 | 71 |
| 0 0 2 | 38.62 | 28 |
| 3 0 1 | 41.07 | 61 |
| 2 2 0 | 41.87 | 31 |
| 2 0 2 | 45.88 | 36 |
| 3 2 1 | 57.24 | 30 |
| 2 2 2 | 58.27 | 24 |

Structural model:
Cell lengths 8.631, 8.631, 4.662 Å; angles 90.00, 90.00, 120.00 degrees
Positions (direct):
Rb 0.000 0.000 0.000
Mg 0.208 0.415 0.500
Mg 0.208 0.792 0.500
Mg 0.533 0.067 0.000
Mg 0.533 0.467 0.000
Mg 0.585 0.792 0.500
Mg 0.933 0.467 0.000
Tl 0.333 0.667 0.000
Tl 0.396 0.198 0.500
Tl 0.802 0.198 0.500
Tl 0.802 0.604 0.500